(1)
Theoretical powder diffraction line list
Compound: ThPd7Au2
Radiation: copper Kα
Structure: a structure optimized by DFT (GGA-PBE)
Neutral-atom scattering factors, no anomalous dispersion.

Atomic structure:
```
data_ThPd7Au2
_cell_length_a 7.3093
_cell_length_b 13.4112
_cell_length_c 4.5542
_cell_angle_alpha 90.00
_cell_angle_beta 90.00
_cell_angle_gamma 90.00
_symmetry_space_group_name_H-M 'C m m m'
_symmetry_Int_Tables_number 65
_symmetry_space_group_name_Hall '-C 2 2'
loop_
_atom_site_label
_atom_site_fract_x
_atom_site_fract_y
_atom_site_fract_z
Th1 0.0000 0.0000 0.0000
Pd1 0.0000 0.1951 0.0000
Pd2 0.0000 0.5000 0.5000
Pd3 0.1823 0.1073 0.5000
Au1 0.0000 0.2983 0.5000
```

The 10 most intense peaks (2θ from 5° to 70°), most intense first:
h k l  2θ (°)  I/Imax
1 5 1  40.96  100
3 1 1  42.62  51
1 1 1  23.96  47
0 0 2  39.58  42
2 0 0  24.36  34
0 0 1  19.49  33
2 4 0  36.36  33
2 4 2  54.80  31
1 1 0  13.80  26
2 0 2  46.98  18

---

(2)
Theoretical powder diffraction line list
Compound: SmB3Pt6
Radiation: copper Kα
Structure: a structure optimized by DFT (GGA-PBE)
Neutral-atom scattering factors, no anomalous dispersion.

Atomic structure:
```
data_SmB3Pt6
_cell_length_a 5.6212
_cell_length_b 5.6348
_cell_length_c 5.8006
_cell_angle_alpha 109.96
_cell_angle_beta 90.83
_cell_angle_gamma 119.45
_symmetry_space_group_name_H-M 'P 1'
_symmetry_Int_Tables_number 1
_symmetry_space_group_name_Hall 'P 1'
loop_
_atom_site_label
_atom_site_fract_x
_atom_site_fract_y
_atom_site_fract_z
Sm1 0.0000 0.0000 0.0000
B1 0.1267 0.2362 0.5110
B2 0.3479 0.7314 0.1399
B3 0.7009 0.4112 0.1563
Pt1 0.0943 0.5731 0.3875
Pt2 0.4651 0.9453 0.8650
Pt3 0.4735 0.4520 0.8710
Pt4 0.4764 0.1824 0.3885
Pt5 0.7119 0.8132 0.4019
Pt6 0.9559 0.4059 0.8132
```

The 10 most intense peaks (2θ from 5° to 70°), most intense first:
h k l  2θ (°)  I/Imax
2 -2 0  37.74  100
0 0 2  33.73  94
0 2 -1  36.64  60
2 -1 0  31.86  48
2 0 -2  45.02  35
1 1 -2  38.41  32
2 -2 1  38.19  30
1 -2 1  32.18  29
1 1 1  43.30  29
2 -1 1  36.34  28